# PaV2GaO8
Theoretical powder diffractogram, λ = 1.5418 Å (Cu Kα). Input: the PBE+U geometry in Alexandria.
Intensities are scaled so that the largest is 100.

Principal peaks in the range 10 to 80 degrees two-theta, in order of rising 2θ:
- (0 0 1), 13.8 deg, d 6.394, intensity 27
- (1 1 0), 19.0 deg, d 4.677, intensity 56
- (1 1 1), 23.6 deg, d 3.775, intensity 51
- (0 2 0), 26.7 deg, d 3.340, intensity 66
- (2 0 0), 27.2 deg, d 3.275, intensity 60
- (1 1 2), 34.0 deg, d 2.639, intensity 100
- (2 2 0), 38.5 deg, d 2.338, intensity 25
- (2 0 2), 39.4 deg, d 2.288, intensity 28
- (1 3 2), 52.0 deg, d 1.760, intensity 45
- (3 1 2), 52.6 deg, d 1.741, intensity 39

Unit cell a=6.5491 b=6.6804 c=6.3943 alpha=90.00 beta=90.00 gamma=90.00
Space group Cmmm (No. 65)
Inequivalent atoms, fractional coordinates:
1 Pa 0.0000 0.0000 0.0000 [2 per cell]
2 V 0.0000 0.5000 0.2696 [4 per cell]
3 Ga 0.0000 0.0000 0.5000 [2 per cell]
4 O 0.0000 0.3092 0.5000 [4 per cell]
5 O 0.0000 0.3171 0.0000 [4 per cell]
6 O 0.2086 0.0000 0.2697 [8 per cell]